# 1
Structure and computed PXRD pattern of Li3Ca4Pt2 (a structure optimized by DFT (GGA-PBE); CuKα).
Peak positions follow from Bragg's law for the DFT cell and can differ from measured ones.

Most intense lines, 2θ = 5–70°, by angle:
| 2theta | d/Å | Rel. int. |
| --- | --- | --- |
| 15.23 | 5.817 | 72 |
| 19.94 | 4.452 | 100 |
| 22.59 | 3.937 | 33 |
| 23.05 | 3.859 | 29 |
| 26.25 | 3.396 | 63 |
| 29.27 | 3.051 | 19 |
| 34.41 | 2.606 | 46 |
| 36.01 | 2.494 | 59 |
| 38.43 | 2.342 | 37 |
| 38.80 | 2.321 | 26 |
| 41.42 | 2.180 | 21 |
| 41.91 | 2.156 | 23 |

Crystal structure
a b c (Å): 8.5961 8.5961 6.1151
angles (deg): 107.27 107.27 31.33
Atoms (fractional coordinates):
1 Li 0.0000 0.0000 0.0000
2 Li 0.1005 0.1005 0.7013
3 Li 0.8995 0.8995 0.2987
4 Ca 0.2218 0.2218 0.1906
5 Ca 0.4312 0.4312 0.6635
6 Ca 0.5688 0.5688 0.3365
7 Ca 0.7782 0.7782 0.8094
8 Pt 0.3863 0.3863 0.0986
9 Pt 0.6137 0.6137 0.9014

---

# 2
Structure and computed PXRD pattern of Li2CaPt2 (a structure optimized by DFT (GGA-PBE); CuKα).
Peak positions follow from Bragg's law for the DFT cell and can differ from measured ones.

Most intense lines, 2θ = 5–70°, by angle:
| 2theta | d/Å | Rel. int. |
| --- | --- | --- |
| 23.82 | 3.735 | 39 |
| 26.69 | 3.341 | 100 |
| 30.64 | 2.917 | 28 |
| 33.94 | 2.641 | 16 |
| 35.14 | 2.554 | 8 |
| 38.10 | 2.362 | 24 |
| 39.18 | 2.299 | 45 |
| 41.08 | 2.197 | 71 |
| 50.37 | 1.812 | 32 |
| 51.94 | 1.761 | 13 |
| 60.12 | 1.539 | 37 |
| 61.52 | 1.507 | 23 |

Crystal structure
a b c (Å): 7.4697 7.4697 2.9174
angles (deg): 90.00 90.00 90.00
Atoms (fractional coordinates):
1 Li 0.1144 0.3856 0.0000
2 Li 0.3856 0.8856 0.0000
3 Li 0.6144 0.1144 0.0000
4 Li 0.8856 0.6144 0.0000
5 Ca 0.0000 0.0000 0.0000
6 Ca 0.5000 0.5000 0.0000
7 Pt 0.1803 0.6803 0.5000
8 Pt 0.3197 0.1803 0.5000
9 Pt 0.6803 0.8197 0.5000
10 Pt 0.8197 0.3197 0.5000

---

# 3
Structure and computed PXRD pattern of Li5CaPt2 (a structure optimized by DFT (GGA-PBE); CuKα).
Peak positions follow from Bragg's law for the DFT cell and can differ from measured ones.

Most intense lines, 2θ = 5–70°, by angle:
| 2theta | d/Å | Rel. int. |
| --- | --- | --- |
| 18.84 | 4.710 | 59 |
| 22.51 | 3.950 | 61 |
| 24.77 | 3.594 | 62 |
| 29.52 | 3.026 | 36 |
| 31.31 | 2.857 | 100 |
| 40.92 | 2.205 | 20 |
| 44.81 | 2.023 | 18 |
| 44.92 | 2.018 | 13 |
| 45.41 | 1.997 | 39 |
| 46.08 | 1.970 | 20 |
| 50.80 | 1.797 | 14 |
| 54.66 | 1.679 | 13 |

Crystal structure
a b c (Å): 6.4695 6.4695 6.4695
angles (deg): 143.65 104.74 86.57
Atoms (fractional coordinates):
1 Li 0.0000 0.0000 0.0000
2 Li 0.0077 0.3287 0.6790
3 Li 0.3504 0.6713 0.6790
4 Li 0.6496 0.3287 0.3210
5 Li 0.9923 0.6713 0.3210
6 Ca 0.5000 0.0000 0.5000
7 Pt 0.2689 0.2689 0.0000
8 Pt 0.7311 0.7311 0.0000

---

# 4
Structure and computed PXRD pattern of Li2Ca3Pt7 (a structure optimized by DFT (GGA-PBE); CuKα).
Peak positions follow from Bragg's law for the DFT cell and can differ from measured ones.

Most intense lines, 2θ = 5–70°, by angle:
| 2theta | d/Å | Rel. int. |
| --- | --- | --- |
| 19.14 | 4.637 | 90 |
| 20.89 | 4.253 | 100 |
| 23.46 | 3.792 | 36 |
| 33.93 | 2.642 | 36 |
| 38.34 | 2.348 | 73 |
| 38.84 | 2.318 | 58 |
| 39.29 | 2.293 | 75 |
| 42.22 | 2.140 | 87 |
| 42.51 | 2.127 | 40 |
| 45.84 | 1.980 | 70 |
| 64.63 | 1.442 | 24 |
| 68.99 | 1.361 | 35 |

Crystal structure
a b c (Å): 9.0688 9.0688 9.0688
angles (deg): 34.94 34.94 34.94
Atoms (fractional coordinates):
1 Li 0.1648 0.1648 0.1648
2 Li 0.8352 0.8352 0.8352
3 Ca 0.3598 0.3598 0.3598
4 Ca 0.5000 0.5000 0.5000
5 Ca 0.6402 0.6402 0.6402
6 Pt 0.0000 0.0000 0.0000
7 Pt 0.0830 0.0830 0.5763
8 Pt 0.0830 0.5763 0.0830
9 Pt 0.4237 0.9170 0.9170
10 Pt 0.5763 0.0830 0.0830
11 Pt 0.9170 0.4237 0.9170
12 Pt 0.9170 0.9170 0.4237

---

# 5
Structure and computed PXRD pattern of LiCa2Zn2Pt5 (a structure optimized by DFT (GGA-PBE); CuKα).
Peak positions follow from Bragg's law for the DFT cell and can differ from measured ones.

Most intense lines, 2θ = 5–70°, by angle:
| 2theta | d/Å | Rel. int. |
| --- | --- | --- |
| 20.78 | 4.276 | 34 |
| 23.32 | 3.814 | 75 |
| 29.55 | 3.023 | 33 |
| 37.98 | 2.369 | 100 |
| 38.84 | 2.319 | 52 |
| 40.01 | 2.253 | 23 |
| 41.48 | 2.177 | 61 |
| 44.75 | 2.025 | 23 |
| 45.80 | 1.981 | 38 |
| 47.69 | 1.907 | 31 |
| 63.12 | 1.473 | 25 |
| 66.54 | 1.405 | 19 |

Crystal structure
a b c (Å): 9.5606 9.5606 3.8140
angles (deg): 90.00 90.00 90.00
Atoms (fractional coordinates):
1 Li 0.0000 0.0000 0.0000
2 Li 0.5000 0.5000 0.0000
3 Ca 0.1753 0.3247 0.0000
4 Ca 0.3247 0.8247 0.0000
5 Ca 0.6753 0.1753 0.0000
6 Ca 0.8247 0.6753 0.0000
7 Zn 0.1249 0.6249 0.0000
8 Zn 0.3751 0.1249 0.0000
9 Zn 0.6249 0.8751 0.0000
10 Zn 0.8751 0.3751 0.0000
11 Pt 0.0000 0.5000 0.5000
12 Pt 0.0635 0.7998 0.5000
13 Pt 0.2002 0.0635 0.5000
14 Pt 0.2998 0.5635 0.5000
15 Pt 0.4365 0.2998 0.5000
16 Pt 0.5000 0.0000 0.5000
17 Pt 0.5635 0.7002 0.5000
18 Pt 0.7002 0.4365 0.5000
19 Pt 0.7998 0.9365 0.5000
20 Pt 0.9365 0.2002 0.5000

---

# 6
Structure and computed PXRD pattern of LiCa3Pu2S6 (a structure optimized by DFT (GGA-PBE); CuKα).
Peak positions follow from Bragg's law for the DFT cell and can differ from measured ones.

Most intense lines, 2θ = 5–70°, by angle:
| 2theta | d/Å | Rel. int. |
| --- | --- | --- |
| 13.54 | 6.539 | 43 |
| 14.77 | 5.996 | 16 |
| 15.44 | 5.738 | 29 |
| 17.32 | 5.119 | 23 |
| 20.09 | 4.419 | 17 |
| 26.13 | 3.411 | 29 |
| 27.30 | 3.267 | 47 |
| 31.63 | 2.829 | 100 |
| 34.54 | 2.596 | 14 |
| 45.33 | 2.000 | 72 |
| 53.74 | 1.706 | 18 |
| 56.33 | 1.633 | 25 |

Crystal structure
a b c (Å): 6.9255 6.9255 6.9349
angles (deg): 99.60 99.60 119.95
Atoms (fractional coordinates):
1 Li 0.0000 0.0000 0.0000
2 Ca 0.1651 0.8349 0.5000
3 Ca 0.5000 0.5000 0.5000
4 Ca 0.8349 0.1651 0.5000
5 Pu 0.3331 0.6669 0.0000
6 Pu 0.6669 0.3331 0.0000
7 S 0.0817 0.4179 0.2447
8 S 0.2546 0.2546 0.7542
9 S 0.4179 0.0817 0.2447
10 S 0.5821 0.9183 0.7553
11 S 0.7454 0.7454 0.2458
12 S 0.9183 0.5821 0.7553

---

# 7
Structure and computed PXRD pattern of Li5Ca2Rh5 (a structure optimized by DFT (GGA-PBE); CuKα).
Peak positions follow from Bragg's law for the DFT cell and can differ from measured ones.

Most intense lines, 2θ = 5–70°, by angle:
| 2theta | d/Å | Rel. int. |
| --- | --- | --- |
| 9.54 | 9.272 | 31 |
| 19.15 | 4.636 | 39 |
| 21.08 | 4.215 | 100 |
| 28.62 | 3.119 | 76 |
| 29.09 | 3.070 | 34 |
| 38.85 | 2.318 | 41 |
| 40.26 | 2.240 | 92 |
| 41.28 | 2.187 | 32 |
| 42.91 | 2.107 | 35 |
| 44.61 | 2.031 | 31 |
| 45.88 | 1.978 | 59 |
| 60.30 | 1.535 | 43 |

Crystal structure
a b c (Å): 4.2147 5.1168 9.2716
angles (deg): 90.00 90.00 90.00
Atoms (fractional coordinates):
1 Li 0.0000 0.0000 0.0000
2 Li 0.5000 0.0000 0.1836
3 Li 0.5000 0.0000 0.8164
4 Li 0.5000 0.5000 0.3340
5 Li 0.5000 0.5000 0.6660
6 Ca 0.5000 0.0000 0.5000
7 Ca 0.5000 0.5000 0.0000
8 Rh 0.0000 0.2482 0.2488
9 Rh 0.0000 0.2482 0.7512
10 Rh 0.0000 0.5000 0.5000
11 Rh 0.0000 0.7518 0.2488
12 Rh 0.0000 0.7518 0.7512

---

# 8
Structure and computed PXRD pattern of Li8CaRh4 (a structure optimized by DFT (GGA-PBE); CuKα).
Peak positions follow from Bragg's law for the DFT cell and can differ from measured ones.

Most intense lines, 2θ = 5–70°, by angle:
| 2theta | d/Å | Rel. int. |
| --- | --- | --- |
| 19.58 | 4.535 | 100 |
| 27.82 | 3.206 | 57 |
| 35.52 | 2.527 | 9 |
| 39.76 | 2.267 | 27 |
| 40.88 | 2.207 | 46 |
| 44.69 | 2.028 | 25 |
| 45.71 | 1.985 | 26 |
| 54.36 | 1.688 | 12 |
| 57.48 | 1.603 | 8 |
| 58.34 | 1.582 | 29 |
| 65.04 | 1.434 | 10 |
| 69.43 | 1.354 | 6 |

Crystal structure
a b c (Å): 6.8928 6.8928 6.8928
angles (deg): 97.72 97.72 136.99
Atoms (fractional coordinates):
1 Li 0.0000 0.2303 0.2303
2 Li 0.0000 0.7697 0.7697
3 Li 0.1591 0.5000 0.6591
4 Li 0.2303 0.0000 0.2303
5 Li 0.5000 0.1591 0.6591
6 Li 0.5000 0.8409 0.3409
7 Li 0.7697 0.0000 0.7697
8 Li 0.8409 0.5000 0.3409
9 Ca 0.5000 0.5000 0.0000
10 Rh 0.0000 0.0000 0.5000
11 Rh 0.0000 0.5000 0.0000
12 Rh 0.5000 0.0000 0.0000
13 Rh 0.5000 0.5000 0.5000

---

# 9
Structure and computed PXRD pattern of LiCa4Rh2 (a structure optimized by DFT (GGA-PBE); CuKα).
Peak positions follow from Bragg's law for the DFT cell and can differ from measured ones.

Most intense lines, 2θ = 5–70°, by angle:
| 2theta | d/Å | Rel. int. |
| --- | --- | --- |
| 11.53 | 7.675 | 63 |
| 13.14 | 6.740 | 100 |
| 16.03 | 5.529 | 25 |
| 16.24 | 5.458 | 30 |
| 23.93 | 3.718 | 18 |
| 31.44 | 2.846 | 86 |
| 32.63 | 2.744 | 22 |
| 38.86 | 2.317 | 37 |
| 39.07 | 2.305 | 40 |
| 39.23 | 2.296 | 40 |
| 42.54 | 2.125 | 25 |
| 44.36 | 2.042 | 24 |

Crystal structure
a b c (Å): 7.2577 7.2595 8.1677
angles (deg): 73.91 73.91 71.69
Atoms (fractional coordinates):
1 Li 0.0000 0.0000 0.0000
2 Li 0.0035 0.0014 0.4910
3 Ca 0.1894 0.6467 0.7883
4 Ca 0.2085 0.6512 0.2802
5 Ca 0.2167 0.2167 0.6558
6 Ca 0.2182 0.2174 0.1193
7 Ca 0.6472 0.1893 0.7878
8 Ca 0.6520 0.2085 0.2806
9 Ca 0.6871 0.6871 0.6554
10 Ca 0.6899 0.6902 0.1473
11 Rh 0.3743 0.8931 0.9308
12 Rh 0.4862 0.4867 0.5031
13 Rh 0.4944 0.4938 0.9980
14 Rh 0.8935 0.3742 0.9310

---

# 10
Structure and computed PXRD pattern of Li4CaRh (a structure optimized by DFT (GGA-PBE); CuKα).
Peak positions follow from Bragg's law for the DFT cell and can differ from measured ones.

Most intense lines, 2θ = 5–70°, by angle:
| 2theta | d/Å | Rel. int. |
| --- | --- | --- |
| 18.14 | 4.890 | 72 |
| 18.78 | 4.725 | 100 |
| 23.20 | 3.834 | 31 |
| 26.23 | 3.398 | 49 |
| 28.11 | 3.175 | 38 |
| 30.02 | 2.977 | 29 |
| 34.02 | 2.635 | 49 |
| 37.95 | 2.371 | 33 |
| 38.09 | 2.362 | 24 |
| 41.59 | 2.172 | 36 |
| 42.67 | 2.119 | 45 |
| 54.86 | 1.673 | 22 |

Crystal structure
a b c (Å): 6.3495 4.7249 7.6672
angles (deg): 90.00 90.00 90.00
Atoms (fractional coordinates):
1 Li 0.0000 0.0000 0.0000
2 Li 0.0571 0.5000 0.3122
3 Li 0.2500 0.5000 0.0021
4 Li 0.4429 0.5000 0.3122
5 Li 0.5000 0.0000 0.0000
6 Li 0.5571 0.5000 0.6878
7 Li 0.7500 0.5000 0.9979
8 Li 0.9429 0.5000 0.6878
9 Ca 0.2500 0.0000 0.6188
10 Ca 0.7500 0.0000 0.3812
11 Rh 0.2500 0.0000 0.2576
12 Rh 0.7500 0.0000 0.7424

---

# 11
Structure and computed PXRD pattern of LiCa2ScRh (a structure optimized by DFT (GGA-PBE); CuKα).
Peak positions follow from Bragg's law for the DFT cell and can differ from measured ones.

Most intense lines, 2θ = 5–70°, by angle:
| 2theta | d/Å | Rel. int. |
| --- | --- | --- |
| 15.82 | 5.602 | 100 |
| 17.89 | 4.958 | 35 |
| 23.97 | 3.713 | 15 |
| 31.95 | 2.801 | 48 |
| 35.84 | 2.505 | 25 |
| 36.24 | 2.479 | 17 |
| 36.86 | 2.439 | 22 |
| 39.76 | 2.267 | 19 |
| 45.81 | 1.981 | 16 |
| 49.08 | 1.856 | 27 |
| 51.89 | 1.762 | 17 |
| 59.77 | 1.547 | 14 |

Crystal structure
a b c (Å): 5.6019 5.6019 4.9576
angles (deg): 90.00 90.00 90.00
Atoms (fractional coordinates):
1 Li 0.0000 0.0000 0.0000
2 Ca 0.0000 0.5000 0.5000
3 Ca 0.5000 0.0000 0.5000
4 Sc 0.5000 0.5000 0.0000
5 Rh 0.5000 0.5000 0.5000

---

# 12
Structure and computed PXRD pattern of LiCa2Si2Rh5 (a structure optimized by DFT (GGA-PBE); CuKα).
Peak positions follow from Bragg's law for the DFT cell and can differ from measured ones.

Most intense lines, 2θ = 5–70°, by angle:
| 2theta | d/Å | Rel. int. |
| --- | --- | --- |
| 19.77 | 4.490 | 28 |
| 27.84 | 3.205 | 54 |
| 28.11 | 3.175 | 33 |
| 32.15 | 2.784 | 29 |
| 34.38 | 2.608 | 29 |
| 36.92 | 2.435 | 82 |
| 38.03 | 2.366 | 30 |
| 39.98 | 2.255 | 100 |
| 40.17 | 2.245 | 27 |
| 43.04 | 2.102 | 59 |
| 45.93 | 1.976 | 27 |
| 46.86 | 1.939 | 32 |

Crystal structure
a b c (Å): 10.0391 10.0391 3.2045
angles (deg): 90.00 90.00 90.00
Atoms (fractional coordinates):
1 Li 0.0000 0.0000 0.0000
2 Li 0.5000 0.5000 0.0000
3 Ca 0.1726 0.3274 0.0000
4 Ca 0.3274 0.8274 0.0000
5 Ca 0.6726 0.1726 0.0000
6 Ca 0.8274 0.6726 0.0000
7 Si 0.1293 0.6293 0.0000
8 Si 0.3707 0.1293 0.0000
9 Si 0.6293 0.8707 0.0000
10 Si 0.8707 0.3707 0.0000
11 Rh 0.0000 0.5000 0.5000
12 Rh 0.0672 0.7917 0.5000
13 Rh 0.2083 0.0672 0.5000
14 Rh 0.2917 0.5672 0.5000
15 Rh 0.4328 0.2917 0.5000
16 Rh 0.5000 0.0000 0.5000
17 Rh 0.5672 0.7083 0.5000
18 Rh 0.7083 0.4328 0.5000
19 Rh 0.7917 0.9328 0.5000
20 Rh 0.9328 0.2083 0.5000

---

# 13
Structure and computed PXRD pattern of LiCa2Sn2Rh5 (a structure optimized by DFT (GGA-PBE); CuKα).
Peak positions follow from Bragg's law for the DFT cell and can differ from measured ones.

Most intense lines, 2θ = 5–70°, by angle:
| 2theta | d/Å | Rel. int. |
| --- | --- | --- |
| 19.00 | 4.670 | 56 |
| 28.88 | 3.091 | 15 |
| 31.37 | 2.851 | 15 |
| 35.44 | 2.533 | 25 |
| 36.51 | 2.461 | 39 |
| 37.96 | 2.370 | 100 |
| 40.91 | 2.206 | 43 |
| 43.70 | 2.071 | 25 |
| 44.60 | 2.032 | 23 |
| 46.85 | 1.939 | 19 |
| 53.87 | 1.702 | 17 |
| 62.52 | 1.486 | 16 |

Crystal structure
a b c (Å): 10.4423 10.4423 3.4036
angles (deg): 90.00 90.00 90.00
Atoms (fractional coordinates):
1 Li 0.0000 0.0000 0.0000
2 Li 0.5000 0.5000 0.0000
3 Ca 0.1659 0.3341 0.0000
4 Ca 0.3341 0.8341 0.0000
5 Ca 0.6659 0.1659 0.0000
6 Ca 0.8341 0.6659 0.0000
7 Sn 0.1367 0.6367 0.0000
8 Sn 0.3633 0.1367 0.0000
9 Sn 0.6367 0.8633 0.0000
10 Sn 0.8633 0.3633 0.0000
11 Rh 0.0000 0.5000 0.5000
12 Rh 0.0612 0.8140 0.5000
13 Rh 0.1860 0.0612 0.5000
14 Rh 0.3140 0.5612 0.5000
15 Rh 0.4388 0.3140 0.5000
16 Rh 0.5000 0.0000 0.5000
17 Rh 0.5612 0.6860 0.5000
18 Rh 0.6860 0.4388 0.5000
19 Rh 0.8140 0.9388 0.5000
20 Rh 0.9388 0.1860 0.5000